1.
# CsHfTe2H
Simulated X-ray powder pattern, λ = 1.5418 Å (Cu Kα). Input: a GGA-PBE-relaxed structure.

Atomic structure:
Cell lengths 8.1196, 4.1505, 10.3512 Å; angles 90.00, 108.84, 90.00 degrees
Sites, in units of the cell vectors:
Cs 0.1558 0.2500 0.3008
Cs 0.8442 0.7500 0.6992
Hf 0.3458 0.2500 0.8359
Hf 0.6542 0.7500 0.1641
Te 0.2811 0.7500 0.0167
Te 0.3320 0.7500 0.6438
Te 0.6680 0.2500 0.3562
Te 0.7189 0.2500 0.9833
H 0.1005 0.2500 0.7834
H 0.8995 0.7500 0.2166

Most intense lines, 15 to 90 degrees two-theta, in order of rising 2θ:
d 4.049, intensity 20; d 3.842, intensity 25; d 3.239, intensity 35; d 3.168, intensity 100; d 2.439, intensity 24; d 2.266, intensity 28; d 2.075, intensity 17; d 1.921, intensity 19

2.
# Cs2HgH6
Simulated X-ray powder pattern, λ = 1.5418 Å (Cu Kα). Input: a GGA-PBE-relaxed structure.

Atomic structure:
Cell lengths 6.8211, 6.8211, 5.8162 Å; angles 108.14, 108.14, 65.64 degrees
Sites, in units of the cell vectors:
Cs 0.0000 0.0000 0.0000
Cs 0.5580 0.5580 0.5546
Hg 0.3265 0.3265 0.8851
H 0.0012 0.5143 0.2776
H 0.0306 0.5139 0.4150
H 0.3787 0.9952 0.8307
H 0.5143 0.0012 0.2776
H 0.5139 0.0306 0.4150
H 0.9952 0.3787 0.8307

Most intense lines, 15 to 90 degrees two-theta, in order of rising 2θ:
d 5.402, intensity 42; d 4.780, intensity 35; d 3.697, intensity 66; d 3.670, intensity 100; d 3.274, intensity 93; d 3.200, intensity 42; d 2.270, intensity 34; d 2.044, intensity 35

3.
# Cs11HgH2
Simulated X-ray powder pattern, λ = 1.5418 Å (Cu Kα). Input: a GGA-PBE-relaxed structure.

Atomic structure:
Cell lengths 14.5802, 14.5802, 14.5802 Å; angles 109.79, 109.48, 109.14 degrees
Sites, in units of the cell vectors:
Cs 0.0000 0.0000 0.0000
Cs 0.0551 0.8535 0.6404
Cs 0.0819 0.4460 0.7969
Cs 0.1491 0.9460 0.3641
Cs 0.1897 0.8143 0.0039
Cs 0.2131 0.4147 0.3596
Cs 0.2869 0.6465 0.2016
Cs 0.3104 0.3143 0.6246
Cs 0.3509 0.7150 0.7969
Cs 0.4181 0.2150 0.3641
Cs 0.4449 0.0853 0.7984
Cs 0.5000 0.5000 0.0000
Cs 0.5551 0.9147 0.2016
Cs 0.5819 0.7850 0.6359
Cs 0.6491 0.2850 0.2031
Cs 0.6896 0.6857 0.3754
Cs 0.7131 0.3535 0.7984
Cs 0.7869 0.5853 0.6404
Cs 0.8104 0.1857 0.9961
Cs 0.8509 0.0540 0.6359
Cs 0.9181 0.5540 0.2031
Cs 0.9449 0.1465 0.3596
Hg 0.2500 0.7500 0.5000
Hg 0.7500 0.2500 0.5000
H 0.1882 0.1881 0.3764
H 0.3118 0.6881 0.9999
H 0.6882 0.3119 0.0001
H 0.8118 0.8119 0.6236

Most intense lines, 15 to 90 degrees two-theta, in order of rising 2θ:
d 4.502, intensity 100; d 3.968, intensity 53; d 3.955, intensity 50; d 3.766, intensity 35; d 3.753, intensity 28; d 3.589, intensity 76; d 3.443, intensity 74; d 3.305, intensity 39

4.
# CsHgH
Simulated X-ray powder pattern, λ = 1.5418 Å (Cu Kα). Input: a GGA-PBE-relaxed structure.

Atomic structure:
Cell lengths 5.7901, 5.6879, 6.0596 Å; angles 90.00, 95.21, 90.00 degrees
Sites, in units of the cell vectors:
Cs 0.2437 0.2500 0.4823
Cs 0.7563 0.7500 0.5177
Hg 0.3443 0.7500 0.0014
Hg 0.6557 0.2500 0.9986
H 0.2340 0.7500 0.3230
H 0.7660 0.2500 0.6770

Most intense lines, 15 to 90 degrees two-theta, in order of rising 2θ:
d 5.766, intensity 21; d 3.466, intensity 100; d 3.267, intensity 85; d 3.017, intensity 43; d 2.844, intensity 38; d 2.572, intensity 20; d 2.070, intensity 30; d 1.849, intensity 20

5.
# CsHgH
Simulated X-ray powder pattern, λ = 1.5418 Å (Cu Kα). Input: a GGA-PBE-relaxed structure.

Atomic structure:
Cell lengths 6.5294, 4.1498, 6.7613 Å; angles 90.00, 90.00, 90.00 degrees
Sites, in units of the cell vectors:
Cs 0.2500 0.0000 0.2501
Cs 0.7500 0.0000 0.7499
Hg 0.2500 0.5000 0.7350
Hg 0.7500 0.5000 0.2650
H 0.0000 0.5000 0.5000
H 0.5000 0.5000 0.5000

Most intense lines, 15 to 90 degrees two-theta, in order of rising 2θ:
d 3.381, intensity 30; d 3.265, intensity 28; d 3.110, intensity 100; d 2.348, intensity 23; d 1.895, intensity 25; d 1.854, intensity 23; d 1.555, intensity 13; d 1.465, intensity 11

6.
# CsHg2H
Simulated X-ray powder pattern, λ = 1.5418 Å (Cu Kα). Input: a GGA-PBE-relaxed structure.

Atomic structure:
Cell lengths 8.3254, 8.3254, 8.3254 Å; angles 90.00, 90.00, 90.00 degrees
Sites, in units of the cell vectors:
Cs 0.0000 0.0000 0.0000
Cs 0.0000 0.5000 0.5000
Cs 0.5000 0.0000 0.5000
Cs 0.5000 0.5000 0.0000
Hg 0.2500 0.2500 0.2500
Hg 0.2500 0.2500 0.7500
Hg 0.2500 0.7500 0.2500
Hg 0.2500 0.7500 0.7500
Hg 0.7500 0.2500 0.2500
Hg 0.7500 0.2500 0.7500
Hg 0.7500 0.7500 0.2500
Hg 0.7500 0.7500 0.7500
H 0.0000 0.0000 0.5000
H 0.0000 0.5000 0.0000
H 0.5000 0.0000 0.0000
H 0.5000 0.5000 0.5000

Most intense lines, 15 to 90 degrees two-theta, in order of rising 2θ:
d 4.807, intensity 13; d 4.163, intensity 29; d 2.943, intensity 100; d 2.081, intensity 19; d 1.862, intensity 14; d 1.699, intensity 40; d 1.316, intensity 18; d 1.113, intensity 22

7.
# Cs2Hg4H
Simulated X-ray powder pattern, λ = 1.5418 Å (Cu Kα). Input: a GGA-PBE-relaxed structure.

Atomic structure:
Cell lengths 5.4991, 5.4991, 17.7867 Å; angles 90.00, 90.00, 90.00 degrees
Sites, in units of the cell vectors:
Cs 0.0000 0.0000 0.1616
Cs 0.0000 0.0000 0.8384
Cs 0.5000 0.5000 0.3384
Cs 0.5000 0.5000 0.6616
Hg 0.0000 0.0000 0.3829
Hg 0.0000 0.0000 0.6171
Hg 0.0000 0.5000 0.0000
Hg 0.0000 0.5000 0.5000
Hg 0.5000 0.0000 0.0000
Hg 0.5000 0.0000 0.5000
Hg 0.5000 0.5000 0.1171
Hg 0.5000 0.5000 0.8829
H 0.0000 0.0000 0.5000
H 0.5000 0.5000 0.0000

Most intense lines, 15 to 90 degrees two-theta, in order of rising 2θ:
d 3.563, intensity 41; d 2.987, intensity 22; d 2.927, intensity 100; d 2.750, intensity 53; d 2.023, intensity 15; d 1.944, intensity 20; d 1.619, intensity 38; d 1.541, intensity 13

8.
# Cs4HgH12
Simulated X-ray powder pattern, λ = 1.5418 Å (Cu Kα). Input: a GGA-PBE-relaxed structure.

Atomic structure:
Cell lengths 8.3918, 8.3918, 8.3918 Å; angles 109.47, 109.47, 109.47 degrees
Sites, in units of the cell vectors:
Cs 0.0000 0.0000 0.5000
Cs 0.0000 0.5000 0.0000
Cs 0.5000 0.0000 0.0000
Cs 0.5000 0.5000 0.5000
Hg 0.0000 0.0000 0.0000
H 0.1262 0.4599 0.5860
H 0.1262 0.5401 0.6663
H 0.3337 0.8738 0.4599
H 0.4140 0.8738 0.5401
H 0.4599 0.3337 0.8738
H 0.4599 0.5860 0.1262
H 0.5401 0.4140 0.8738
H 0.5401 0.6663 0.1262
H 0.5860 0.1262 0.4599
H 0.6663 0.1262 0.5401
H 0.8738 0.4599 0.3337
H 0.8738 0.5401 0.4140

Most intense lines, 15 to 90 degrees two-theta, in order of rising 2θ:
d 4.845, intensity 21; d 3.956, intensity 21; d 3.426, intensity 100; d 2.590, intensity 15; d 2.423, intensity 19; d 1.978, intensity 42; d 1.532, intensity 19; d 1.295, intensity 21

9.
# Cs8HgH2
Simulated X-ray powder pattern, λ = 1.5418 Å (Cu Kα). Input: a GGA-PBE-relaxed structure.

Atomic structure:
Cell lengths 10.6122, 10.6122, 8.6445 Å; angles 90.00, 90.00, 120.00 degrees
Sites, in units of the cell vectors:
Cs 0.1792 0.3584 0.2614
Cs 0.1792 0.8208 0.2614
Cs 0.3333 0.6667 0.8197
Cs 0.3584 0.1792 0.7386
Cs 0.6416 0.8208 0.2614
Cs 0.6667 0.3333 0.1803
Cs 0.8208 0.1792 0.7386
Cs 0.8208 0.6416 0.7386
Hg 0.0000 0.0000 0.0000
H 0.3333 0.6667 0.1578
H 0.6667 0.3333 0.8422

Most intense lines, 15 to 90 degrees two-theta, in order of rising 2θ:
d 4.522, intensity 18; d 4.322, intensity 14; d 4.058, intensity 100; d 3.148, intensity 30; d 2.653, intensity 30; d 2.441, intensity 20; d 2.220, intensity 26; d 1.703, intensity 18

10.
# Cs3NaHg2H6
Simulated X-ray powder pattern, λ = 1.5418 Å (Cu Kα). Input: a GGA-PBE-relaxed structure.

Atomic structure:
Cell lengths 6.4370, 6.4370, 7.8962 Å; angles 90.00, 90.00, 120.00 degrees
Sites, in units of the cell vectors:
Cs 0.0000 0.0000 0.0000
Cs 0.3333 0.6667 0.6938
Cs 0.6667 0.3333 0.3062
Na 0.0000 0.0000 0.5000
Hg 0.3333 0.6667 0.2258
Hg 0.6667 0.3333 0.7742
H 0.1746 0.3492 0.3104
H 0.1746 0.8254 0.3104
H 0.3492 0.1746 0.6896
H 0.6508 0.8254 0.3104
H 0.8254 0.1746 0.6896
H 0.8254 0.6508 0.6896

Most intense lines, 15 to 90 degrees two-theta, in order of rising 2θ:
d 4.554, intensity 12; d 3.220, intensity 100; d 2.495, intensity 15; d 2.277, intensity 17; d 1.859, intensity 36; d 1.682, intensity 12; d 1.610, intensity 12; d 1.440, intensity 14

11.
# Cs2NaHgH4
Simulated X-ray powder pattern, λ = 1.5418 Å (Cu Kα). Input: a GGA-PBE-relaxed structure.

Atomic structure:
Cell lengths 6.8909, 6.8909, 7.9079 Å; angles 90.00, 90.00, 90.00 degrees
Sites, in units of the cell vectors:
Cs 0.0000 0.0000 0.0000
Cs 0.0000 0.5000 0.2500
Cs 0.5000 0.0000 0.7500
Cs 0.5000 0.5000 0.5000
Na 0.0000 0.0000 0.5000
Na 0.5000 0.5000 0.0000
Hg 0.0000 0.5000 0.7500
Hg 0.5000 0.0000 0.2500
H 0.1136 0.2905 0.6229
H 0.2095 0.6136 0.8771
H 0.2905 0.8864 0.3771
H 0.3864 0.2095 0.1229
H 0.6136 0.7905 0.1229
H 0.7095 0.1136 0.3771
H 0.7905 0.3864 0.8771
H 0.8864 0.7095 0.6229

Most intense lines, 15 to 90 degrees two-theta, in order of rising 2θ:
d 5.195, intensity 24; d 4.873, intensity 20; d 3.445, intensity 67; d 3.070, intensity 100; d 2.436, intensity 26; d 1.908, intensity 51; d 1.715, intensity 18; d 1.279, intensity 14

12.
# Cs2HI
Simulated X-ray powder pattern, λ = 1.5418 Å (Cu Kα). Input: a GGA-PBE-relaxed structure.

Atomic structure:
Cell lengths 4.4855, 20.1683, 8.0356 Å; angles 90.00, 90.00, 90.00 degrees
Sites, in units of the cell vectors:
Cs 0.0000 0.0000 0.0000
Cs 0.0000 0.0000 0.5000
Cs 0.0000 0.1829 0.2500
Cs 0.0000 0.8171 0.7500
Cs 0.5000 0.3171 0.7500
Cs 0.5000 0.5000 0.0000
Cs 0.5000 0.5000 0.5000
Cs 0.5000 0.6829 0.2500
H 0.0000 0.4367 0.7500
H 0.0000 0.5633 0.2500
H 0.5000 0.0633 0.2500
H 0.5000 0.9367 0.7500
I 0.0000 0.1644 0.7500
I 0.0000 0.8356 0.2500
I 0.5000 0.3356 0.2500
I 0.5000 0.6644 0.7500

Most intense lines, 15 to 90 degrees two-theta, in order of rising 2θ:
d 4.379, intensity 70; d 3.732, intensity 71; d 3.361, intensity 39; d 3.142, intensity 23; d 2.999, intensity 39; d 2.734, intensity 100; d 1.826, intensity 22; d 1.794, intensity 22